Computed powder X-ray diffraction pattern of Ti4NiP4O20 for copper Kα, from a DFT-relaxed cell (GGA+U, Alexandria).
Peak positions follow from Bragg's law for the DFT cell and can differ from measured ones.

Atomic structure:
```
58
Lattice="7.4442 0.0000 0.0000 0.0000 7.2856 0.0000 -7.2223 0.0000 12.9687" Properties=species:S:1:pos:R:3 pbc="T T T"
Ti -0.9655 1.6232 4.7410
Ti -4.5766 2.0196 11.2254
Ti 0.8635 5.3954 1.5432
Ti -2.7477 5.5329 8.0276
Ti 2.9696 1.7526 4.9412
Ti -0.6415 1.8901 11.4255
Ti 4.7985 5.2660 1.7434
Ti 1.1874 5.6624 8.2277
Ni 3.7221 0.0000 0.0000
Ni 0.1110 3.6428 6.4844
P -2.6923 4.5278 4.9303
P -6.3034 6.4006 11.4147
P -2.5650 4.6182 11.2780
P 1.0461 6.3101 4.7936
P -0.8242 0.9755 8.1751
P 2.7869 2.6673 1.6907
P 6.5254 0.8850 1.5540
P 2.9142 2.7578 8.0384
O -2.7325 1.2544 4.9108
O -6.3436 2.3884 11.3951
O 6.5656 4.8971 1.5736
O 2.9544 6.0312 8.0580
O -0.9145 1.7081 2.8720
O -4.5257 1.9347 9.3564
O -6.2749 5.4041 12.5714
O -2.6637 5.5242 6.0870
O 0.3353 0.0033 1.5333
O -3.2758 3.6395 8.0177
O -1.3912 3.6526 4.9945
O -5.0024 7.2758 11.4788
O -3.8728 3.7733 11.3403
O -0.2617 7.1550 4.8559
O -2.0261 0.0351 8.0403
O 1.5850 3.6077 1.5559
O 2.7690 1.6993 0.4623
O -0.8422 1.9435 6.9467
O -2.4990 5.4236 9.9814
O 1.1121 5.5048 3.4970
O -0.6265 4.7965 7.7630
O 2.9847 6.1319 1.2786
O -2.7627 1.1537 11.6901
O 0.8484 2.4891 5.2057
O -0.8902 1.7808 9.4717
O 2.7209 1.8620 2.9874
O 1.0641 5.3421 6.0220
O -2.5470 5.5863 12.5064
O -1.3631 3.6779 11.4128
O 2.2481 7.2505 4.9284
O 0.4836 0.1305 8.1128
O 4.0948 3.5123 1.6284
O 5.2243 0.0098 1.4899
O 1.6132 3.6330 7.9743
O -0.1134 7.2823 11.4354
O 3.4978 3.6461 4.9510
O 2.8857 1.7614 6.8817
O 6.4968 1.8814 0.3973
O 4.7476 5.3509 3.6124
O 1.1365 5.5775 10.0967
```

The 10 most intense peaks (10 to 90 degrees two-theta), low angle first:
2θ = 13.65°, rel. 16, (0 0 2); 2θ = 13.94°, rel. 15, (0 1 1); 2θ = 18.32°, rel. 22, (0 1 2); 2θ = 22.02°, rel. 33, (1 1 -3); 2θ = 23.94°, rel. 14, (0 1 3); 2θ = 26.90°, rel. 100, (2 1 -2); 2θ = 27.26°, rel. 16, (1 2 -1); 2θ = 27.51°, rel. 45, (0 0 4); 2θ = 55.45°, rel. 17, (4 2 -4); 2θ = 58.27°, rel. 14, (2 4 -4)